Record 1
Diffraction record for Pr5Sm3. The PXRD pattern is computed, not measured: it uses DFT lattice parameters and positions (PBE) and a wavelength of 1.5418 Å.
No peak broadening, texture or thermal motion is included.

Structure:
Lattice parameters (Å, degrees): 7.4194 8.7696 8.7696 85.94 90.00 90.00
Atoms (fractional coordinates):
Pr 0.0000 0.0000 0.0000
Pr 0.0000 0.0840 0.5794
Pr 0.0000 0.5794 0.0840
Pr 0.2509 0.3311 0.8324
Pr 0.2515 0.7494 0.7494
Pr 0.2509 0.8324 0.3311
Pr 0.5000 0.4978 0.4978
Pr 0.7491 0.3311 0.8324
Pr 0.7485 0.7494 0.7494
Pr 0.7491 0.8324 0.3311
Sm 0.0000 0.4986 0.4986
Sm 0.2511 0.2490 0.2490
Sm 0.5000 0.9999 0.9999
Sm 0.5000 0.0835 0.5812
Sm 0.5000 0.5812 0.0835
Sm 0.7489 0.2490 0.2490

Peak list (8 most intense, 2θ from 5° to 70°, in order of rising 2θ)
- 27.79°, I 233
- 29.89°, I 258
- 31.63°, I 1000
- 41.27°, I 161
- 49.15°, I 195
- 54.18°, I 218
- 58.60°, I 230
- 59.64°, I 163


Record 2
Diffraction record for CaZn3Pd3. The PXRD pattern is computed, not measured: it uses DFT lattice parameters and positions (PBE) and a wavelength of 1.5418 Å.
No peak broadening, texture or thermal motion is included.

Structure:
Lattice parameters (Å, degrees): 6.8429 6.8429 6.8429 90.00 90.00 90.00
Atoms (fractional coordinates):
Ca 0.0000 0.0000 0.0000
Ca 0.5000 0.5000 0.5000
Zn 0.0000 0.2500 0.5000
Zn 0.0000 0.7500 0.5000
Zn 0.2500 0.5000 0.0000
Zn 0.5000 0.0000 0.2500
Zn 0.5000 0.0000 0.7500
Zn 0.7500 0.5000 0.0000
Pd 0.0000 0.5000 0.2500
Pd 0.0000 0.5000 0.7500
Pd 0.2500 0.0000 0.5000
Pd 0.5000 0.2500 0.0000
Pd 0.5000 0.7500 0.0000
Pd 0.7500 0.0000 0.5000

Peak list (8 most intense, 2θ from 5° to 70°, in order of rising 2θ)
- 18.34°, I 750
- 26.04°, I 432
- 32.04°, I 1000
- 41.74°, I 185
- 45.94°, I 604
- 49.86°, I 553
- 53.57°, I 383
- 60.51°, I 150


Record 3
Diffraction record for RbPrP3HO10. The PXRD pattern is computed, not measured: it uses DFT lattice parameters and positions (PBE) and a wavelength of 1.5418 Å.
No peak broadening, texture or thermal motion is included.

Structure:
Lattice parameters (Å, degrees): 7.1677 7.9836 8.7753 75.03 74.40 82.72
Atoms (fractional coordinates):
Rb 0.2049 0.2192 0.0252
Rb 0.7951 0.7808 0.9748
Pr 0.2283 0.1339 0.5099
Pr 0.7717 0.8661 0.4901
P 0.1504 0.5486 0.6342
P 0.3222 0.8083 0.3439
P 0.3303 0.7400 0.8093
P 0.6697 0.2600 0.1907
P 0.6778 0.1917 0.6561
P 0.8496 0.4514 0.3658
H 0.3129 0.7120 0.0727
H 0.6871 0.2880 0.9273
O 0.0382 0.3441 0.3386
O 0.1315 0.9241 0.3735
O 0.1465 0.3540 0.6669
O 0.2029 0.9000 0.7555
O 0.2576 0.6614 0.9975
O 0.2754 0.6101 0.4494
O 0.2826 0.5785 0.7457
O 0.4028 0.7956 0.1696
O 0.4525 0.2441 0.2452
O 0.4601 0.8717 0.4214
O 0.5399 0.1283 0.5786
O 0.5475 0.7559 0.7548
O 0.5972 0.2044 0.8304
O 0.7174 0.4215 0.2543
O 0.7246 0.3899 0.5506
O 0.7424 0.3386 0.0025
O 0.7971 0.1000 0.2445
O 0.8535 0.6460 0.3331
O 0.8685 0.0759 0.6265
O 0.9618 0.6559 0.6614

Peak list (8 most intense, 2θ from 5° to 70°, in order of rising 2θ)
- 10.77°, I 946
- 13.80°, I 336
- 25.85°, I 795
- 27.23°, I 330
- 27.67°, I 1000
- 27.79°, I 662
- 28.51°, I 471
- 29.45°, I 462


Record 4
Diffraction record for LiGaSn3. The PXRD pattern is computed, not measured: it uses DFT lattice parameters and positions (PBE) and a wavelength of 1.5418 Å.
No peak broadening, texture or thermal motion is included.

Structure:
Lattice parameters (Å, degrees): 6.4764 6.4764 6.4764 74.26 74.26 74.26
Atoms (fractional coordinates):
Li 0.1046 0.1046 0.1046
Li 0.8954 0.8954 0.8954
Ga 0.4081 0.4081 0.4081
Ga 0.5919 0.5919 0.5919
Sn 0.0009 0.2448 0.5410
Sn 0.2448 0.5410 0.0009
Sn 0.4590 0.9991 0.7552
Sn 0.5410 0.0009 0.2448
Sn 0.7552 0.4590 0.9991
Sn 0.9991 0.7552 0.4590

Peak list (8 most intense, 2θ from 5° to 70°, in order of rising 2θ)
- 29.33°, I 144
- 29.88°, I 1000
- 35.67°, I 381
- 37.44°, I 144
- 38.78°, I 195
- 39.94°, I 268
- 48.29°, I 143
- 56.89°, I 158


Record 5
Diffraction record for ThInAu6. The PXRD pattern is computed, not measured: it uses DFT lattice parameters and positions (PBE) and a wavelength of 1.5418 Å.
No peak broadening, texture or thermal motion is included.

Structure:
Lattice parameters (Å, degrees): 4.6619 6.7084 5.3326 90.00 90.00 90.00
Atoms (fractional coordinates):
Th 0.0000 0.0000 0.0000
In 0.5000 0.5000 0.3200
Au 0.0000 0.2677 0.4948
Au 0.0000 0.5000 0.9983
Au 0.0000 0.7323 0.4948
Au 0.5000 0.0000 0.3996
Au 0.5000 0.2759 0.8323
Au 0.5000 0.7241 0.8323

Peak list (8 most intense, 2θ from 5° to 70°, in order of rising 2θ)
- 31.51°, I 198
- 33.61°, I 144
- 37.07°, I 1000
- 38.63°, I 296
- 38.91°, I 352
- 58.79°, I 140
- 68.88°, I 167
- 69.17°, I 110


Record 6
Diffraction record for YTmPd4. The PXRD pattern is computed, not measured: it uses DFT lattice parameters and positions (PBE) and a wavelength of 1.5418 Å.
No peak broadening, texture or thermal motion is included.

Structure:
Lattice parameters (Å, degrees): 5.4336 5.4336 5.4336 60.00 60.00 60.00
Atoms (fractional coordinates):
Y 0.0000 0.0000 0.0000
Tm 0.2500 0.2500 0.2500
Pd 0.1256 0.6248 0.6248
Pd 0.6248 0.1256 0.6248
Pd 0.6248 0.6248 0.1256
Pd 0.6248 0.6248 0.6248

Peak list (8 most intense, 2θ from 5° to 70°, in order of rising 2θ)
- 20.01°, I 47
- 23.15°, I 32
- 32.97°, I 323
- 38.87°, I 1000
- 40.67°, I 349
- 58.88°, I 121
- 62.84°, I 320
- 69.15°, I 263